Theoretical powder X-ray diffraction pattern
Compound: PmNpTe2
Radiation: Cu Kα (weighted mean of Kα1 and Kα2)
Structure: a cell relaxed with PBE

Peak list (8 most intense, 10 to 90 degrees two-theta, by angle)
2θ/deg, I_rel
20.07, 3.8
23.21, 5.0
33.06, 100.0
47.46, 18.3
59.05, 38.3
69.37, 11.8
79.02, 16.5
88.37, 4.3

Structural model:
Cell: 7.6634 7.6634 7.6634 Å, 90.00 90.00 90.00°
Space group Fm-3m (No. 225)
Symmetry-distinct sites (fractional):
1 Pm 0.0000 0.0000 0.0000 (multiplicity 4)
2 Np 0.0000 0.0000 0.5000 (multiplicity 4)
3 Te 0.2500 0.2500 0.2500 (multiplicity 8)